Record 1
This entry pairs a crystal structure of Zr4InS8 with its calculated PXRD pattern. Radiation: Cu Kα (λ = 1.5418 Å). Structure: DFT lattice parameters and positions (PBE).

Principal peaks in the range 2θ from 10° to 90°, by angle:
two_theta	Rel. int.
11.67	90
14.52	18
16.02	14
28.46	14
32.36	100
39.75	20
42.74	39
49.88	31
60.72	15
82.33	12

Atomic structure:
Cell: 8.6775 8.6775 8.6775 Å, 49.84 49.84 49.84°
Element x y z (fractional)
Zr1 0.0000 0.0000 0.0000
Zr2 0.0000 0.5000 0.5000
Zr3 0.5000 0.0000 0.5000
Zr4 0.5000 0.5000 0.0000
In1 0.5000 0.5000 0.5000
S1 0.2331 0.2331 0.7332
S2 0.2331 0.7332 0.2331
S3 0.2668 0.7669 0.7669
S4 0.2683 0.2683 0.2683
S5 0.7317 0.7317 0.7317
S6 0.7332 0.2331 0.2331
S7 0.7669 0.2668 0.7669
S8 0.7669 0.7669 0.2668

Record 2
This entry pairs a crystal structure of BaZr5Pb4O15 with its calculated PXRD pattern. Radiation: Cu Kα (λ = 1.5418 Å). Structure: DFT lattice parameters and positions (PBE).

Principal peaks in the range 2θ from 10° to 90°, by angle:
two_theta	Rel. int.
20.91	28
29.52	31
29.62	63
29.91	100
42.54	32
42.62	17
52.29	15
52.78	12
52.97	33
53.12	14

Atomic structure:
Cell: 4.2506 4.2506 21.2148 Å, 90.53 90.53 89.22°
Element x y z (fractional)
Ba1 0.0000 0.0000 0.0000
Zr1 0.4935 0.4935 0.6943
Zr2 0.4950 0.4950 0.4951
Zr3 0.4962 0.4962 0.2960
Zr4 0.4995 0.4995 0.8951
Zr5 0.5039 0.5039 0.0969
Pb1 0.9332 0.9332 0.8024
Pb2 0.9373 0.9373 0.6042
Pb3 0.9391 0.9391 0.4055
Pb4 0.9419 0.9419 0.2067
O1 0.0137 0.5193 0.0882
O2 0.0145 0.5410 0.8890
O3 0.0146 0.5432 0.6879
O4 0.0159 0.5433 0.4886
O5 0.0166 0.5437 0.2892
O6 0.5130 0.5130 0.9911
O7 0.5193 0.0137 0.0882
O8 0.5410 0.0145 0.8890
O9 0.5414 0.5414 0.5924
O10 0.5406 0.5406 0.7913
O11 0.5419 0.5419 0.1941
O12 0.5423 0.5423 0.3932
O13 0.5432 0.0146 0.6879
O14 0.5433 0.0159 0.4886
O15 0.5437 0.0166 0.2892

Record 3
This entry pairs a crystal structure of LaNd12Y3 with its calculated PXRD pattern. Radiation: Cu Kα (λ = 1.5418 Å). Structure: DFT lattice parameters and positions (PBE).

Principal peaks in the range 2θ from 10° to 90°, by angle:
two_theta	Rel. int.
17.11	2
24.29	1
29.86	100
34.62	51
49.76	36
59.13	43
62.04	12
73.03	6
80.85	17
83.41	16

Atomic structure:
Cell: 5.1832 5.1832 20.7219 Å, 90.00 90.00 90.00°
Element x y z (fractional)
La1 0.0000 0.0000 0.0000
Nd1 0.0000 0.5000 0.1274
Nd2 0.0000 0.5000 0.3758
Nd3 0.0000 0.5000 0.6242
Nd4 0.0000 0.5000 0.8726
Nd5 0.5000 0.0000 0.1274
Nd6 0.5000 0.0000 0.3758
Nd7 0.5000 0.0000 0.6242
Nd8 0.5000 0.0000 0.8726
Nd9 0.5000 0.5000 0.0000
Nd10 0.5000 0.5000 0.2526
Nd11 0.5000 0.5000 0.5000
Nd12 0.5000 0.5000 0.7474
Y1 0.0000 0.0000 0.2515
Y2 0.0000 0.0000 0.5000
Y3 0.0000 0.0000 0.7485